No. 1
The following is a theoretical powder X-ray diffraction pattern of Pr2ZnCo3Ni12. It was derived from DFT lattice parameters and positions (GGA-PBE), using Cu Kα, 1.54184 Å.
Kinematic intensities with the Lorentz-polarization factor, no thermal factor.

Top 8 peaks for 2θ = 10–80°, in order of falling intensity:
Position (°2θ)	I (rel.)
43.16	100
45.23	63
35.97	29
64.30	17
43.69	16
38.90	15
30.86	13
28.73	13

Structure:
```
Pr2ZnCo3Ni12
1.0
4.192 2.420 4.008
-4.192 2.420 4.008
0.000 -4.840 4.008
Pr Zn Co Ni
2 1 3 12
direct
0.228 0.228 0.228 Pr
0.772 0.772 0.772 Pr
0.500 0.500 0.500 Zn
0.000 0.500 0.500 Co
0.500 0.000 0.500 Co
0.500 0.500 0.000 Co
0.079 0.079 0.651 Ni
0.079 0.651 0.079 Ni
0.229 0.699 0.699 Ni
0.301 0.301 0.771 Ni
0.301 0.771 0.301 Ni
0.349 0.921 0.921 Ni
0.651 0.079 0.079 Ni
0.699 0.229 0.699 Ni
0.699 0.699 0.229 Ni
0.771 0.301 0.301 Ni
0.921 0.349 0.921 Ni
0.921 0.921 0.349 Ni
```


No. 2
The following is a theoretical powder X-ray diffraction pattern of Co9Ni11Pt4. It was derived from DFT lattice parameters and positions (GGA-PBE), using Cu Kα, 1.54184 Å.
Kinematic intensities with the Lorentz-polarization factor, no thermal factor.

Top 8 peaks for 2θ = 10–80°, in order of falling intensity:
Position (°2θ)	I (rel.)
45.01	100
45.90	85
46.25	59
41.80	55
52.09	48
41.11	46
42.11	45
22.67	38

Structure:
```
Co9Ni11Pt4
1.0
6.022 -9.181 0.000
6.022 9.181 0.000
0.000 0.000 2.590
Co Ni Pt
9 11 4
direct
0.000 0.000 0.000 Co
0.110 0.675 0.000 Co
0.303 0.496 0.000 Co
0.325 0.890 0.000 Co
0.496 0.303 0.000 Co
0.504 0.697 0.000 Co
0.675 0.110 0.000 Co
0.697 0.504 0.000 Co
0.890 0.325 0.000 Co
0.101 0.477 0.500 Ni
0.123 0.877 0.500 Ni
0.306 0.306 0.500 Ni
0.308 0.692 0.500 Ni
0.477 0.101 0.500 Ni
0.500 0.500 0.500 Ni
0.523 0.899 0.500 Ni
0.692 0.308 0.500 Ni
0.694 0.694 0.500 Ni
0.877 0.123 0.500 Ni
0.899 0.523 0.500 Ni
0.091 0.259 0.000 Pt
0.259 0.091 0.000 Pt
0.741 0.909 0.000 Pt
0.909 0.741 0.000 Pt
```


No. 3
The following is a theoretical powder X-ray diffraction pattern of Co7NiPt2. It was derived from DFT lattice parameters and positions (GGA-PBE), using Cu Kα, 1.54184 Å.
Kinematic intensities with the Lorentz-polarization factor, no thermal factor.

Top 8 peaks for 2θ = 10–80°, in order of falling intensity:
Position (°2θ)	I (rel.)
45.29	100
23.25	23
47.52	20
34.01	19
25.11	15
15.41	14
67.76	14
38.30	12

Structure:
```
Co7NiPt2
1.0
-2.001 3.826 4.356
2.001 -3.826 4.356
2.001 3.826 -4.356
Co Ni Pt
7 1 2
direct
0.000 0.000 0.000 Co
0.092 0.837 0.256 Co
0.146 0.646 0.500 Co
0.419 0.163 0.256 Co
0.581 0.837 0.744 Co
0.854 0.354 0.500 Co
0.908 0.163 0.744 Co
0.500 0.000 0.500 Ni
0.339 0.339 0.000 Pt
0.661 0.661 0.000 Pt
```


No. 4
The following is a theoretical powder X-ray diffraction pattern of Co2NiPt6. It was derived from DFT lattice parameters and positions (GGA-PBE), using Cu Kα, 1.54184 Å.
Kinematic intensities with the Lorentz-polarization factor, no thermal factor.

Top 8 peaks for 2θ = 10–80°, in order of falling intensity:
Position (°2θ)	I (rel.)
40.57	100
33.61	19
46.74	17
46.96	17
47.90	14
68.42	11
31.40	10
15.55	10

Structure:
```
Co2NiPt6
1.0
0.000 5.697 5.831
1.935 0.000 5.831
1.935 5.697 0.000
Co Ni Pt
2 1 6
direct
0.171 0.171 0.829 Co
0.829 0.829 0.171 Co
0.500 0.500 0.500 Ni
0.156 0.844 0.156 Pt
0.176 0.491 0.509 Pt
0.491 0.176 0.824 Pt
0.509 0.824 0.176 Pt
0.824 0.509 0.491 Pt
0.844 0.156 0.844 Pt
```


No. 5
The following is a theoretical powder X-ray diffraction pattern of Co14NiPt. It was derived from DFT lattice parameters and positions (GGA-PBE), using Cu Kα, 1.54184 Å.
Kinematic intensities with the Lorentz-polarization factor, no thermal factor.

Top 8 peaks for 2θ = 10–80°, in order of falling intensity:
Position (°2θ)	I (rel.)
47.11	100
44.54	26
41.23	17
62.28	14
23.05	11
75.02	10
41.13	9
10.87	8

Structure:
```
Co14NiPt
1.0
8.137 0.000 0.000
0.000 2.526 4.390
0.000 -2.526 4.390
Co Ni Pt
14 1 1
direct
0.000 0.000 0.000 Co
0.000 0.000 0.497 Co
0.000 0.497 0.000 Co
0.000 0.499 0.499 Co
0.244 0.160 0.668 Co
0.244 0.668 0.160 Co
0.244 0.668 0.668 Co
0.250 0.166 0.166 Co
0.500 0.500 0.999 Co
0.500 0.999 0.500 Co
0.750 0.166 0.166 Co
0.756 0.160 0.668 Co
0.756 0.668 0.160 Co
0.756 0.668 0.668 Co
0.500 0.998 0.998 Ni
0.500 0.499 0.499 Pt
```


No. 6
The following is a theoretical powder X-ray diffraction pattern of CoNi3Pt4. It was derived from DFT lattice parameters and positions (GGA-PBE), using Cu Kα, 1.54184 Å.
Kinematic intensities with the Lorentz-polarization factor, no thermal factor.

Top 8 peaks for 2θ = 10–80°, in order of falling intensity:
Position (°2θ)	I (rel.)
41.39	100
47.27	34
24.35	24
32.94	23
71.18	20
49.91	15
53.88	12
61.10	8

Structure:
```
CoNi3Pt4
1.0
0.000 2.721 7.309
2.717 0.000 7.309
2.717 2.721 0.000
Co Ni Pt
1 3 4
direct
0.000 0.000 0.000 Co
0.251 0.251 0.749 Ni
0.500 0.500 0.500 Ni
0.749 0.749 0.251 Ni
0.124 0.124 0.376 Pt
0.376 0.376 0.124 Pt
0.624 0.624 0.876 Pt
0.876 0.876 0.624 Pt
```


No. 7
The following is a theoretical powder X-ray diffraction pattern of CoNi6Pt8. It was derived from DFT lattice parameters and positions (GGA-PBE), using Cu Kα, 1.54184 Å.
Kinematic intensities with the Lorentz-polarization factor, no thermal factor.

Top 8 peaks for 2θ = 10–80°, in order of falling intensity:
Position (°2θ)	I (rel.)
43.60	100
44.39	97
30.72	92
63.97	30
54.95	19
73.20	16
22.61	12
25.19	12

Structure:
```
CoNi6Pt8
1.0
7.070 0.000 0.000
-3.535 6.123 0.000
0.000 0.000 5.129
Co Ni Pt
1 6 8
direct
0.000 0.000 0.000 Co
0.021 0.337 0.860 Ni
0.316 0.979 0.860 Ni
0.337 0.316 0.140 Ni
0.663 0.684 0.860 Ni
0.684 0.021 0.140 Ni
0.979 0.663 0.140 Ni
0.013 0.335 0.362 Pt
0.322 0.987 0.362 Pt
0.333 0.667 0.077 Pt
0.335 0.322 0.638 Pt
0.665 0.678 0.362 Pt
0.667 0.333 0.923 Pt
0.678 0.013 0.638 Pt
0.987 0.665 0.638 Pt
```


No. 8
The following is a theoretical powder X-ray diffraction pattern of Co5Ni2Pt4. It was derived from DFT lattice parameters and positions (GGA-PBE), using Cu Kα, 1.54184 Å.
Kinematic intensities with the Lorentz-polarization factor, no thermal factor.

Top 8 peaks for 2θ = 10–80°, in order of falling intensity:
Position (°2θ)	I (rel.)
42.14	100
46.41	96
43.48	86
40.68	76
26.17	75
46.26	70
44.88	68
10.10	65

Structure:
```
Co5Ni2Pt4
1.0
8.815 -1.327 0.000
8.815 1.327 0.000
-0.724 0.000 6.248
Co Ni Pt
5 2 4
direct
0.000 0.000 0.000 Co
0.226 0.226 0.807 Co
0.311 0.311 0.521 Co
0.689 0.689 0.479 Co
0.774 0.774 0.193 Co
0.090 0.090 0.689 Ni
0.910 0.910 0.311 Ni
0.363 0.363 0.964 Pt
0.455 0.455 0.657 Pt
0.545 0.545 0.343 Pt
0.637 0.637 0.036 Pt
```


No. 9
The following is a theoretical powder X-ray diffraction pattern of CoNi6Pt2. It was derived from DFT lattice parameters and positions (GGA-PBE), using Cu Kα, 1.54184 Å.
Kinematic intensities with the Lorentz-polarization factor, no thermal factor.

Top 8 peaks for 2θ = 10–80°, in order of falling intensity:
Position (°2θ)	I (rel.)
44.71	100
42.46	72
43.01	60
42.05	49
52.95	37
17.09	36
34.20	25
40.27	22

Structure:
```
CoNi6Pt2
1.0
4.744 -4.297 0.000
4.744 4.297 0.000
-3.747 0.000 5.410
Co Ni Pt
2 12 4
direct
0.148 0.852 0.750 Co
0.852 0.148 0.250 Co
0.003 0.196 0.687 Ni
0.062 0.378 0.130 Ni
0.196 0.003 0.187 Ni
0.337 0.602 0.049 Ni
0.378 0.062 0.630 Ni
0.398 0.663 0.451 Ni
0.602 0.337 0.549 Ni
0.622 0.938 0.370 Ni
0.663 0.398 0.951 Ni
0.804 0.997 0.813 Ni
0.938 0.622 0.870 Ni
0.997 0.804 0.313 Ni
0.216 0.422 0.577 Pt
0.422 0.216 0.077 Pt
0.578 0.784 0.923 Pt
0.784 0.578 0.423 Pt
```


No. 10
The following is a theoretical powder X-ray diffraction pattern of CoNi5Pt2. It was derived from DFT lattice parameters and positions (GGA-PBE), using Cu Kα, 1.54184 Å.
Kinematic intensities with the Lorentz-polarization factor, no thermal factor.

Top 8 peaks for 2θ = 10–80°, in order of falling intensity:
Position (°2θ)	I (rel.)
42.76	100
42.87	100
49.70	64
73.29	38
50.15	31
28.05	29
21.87	22
27.18	20

Structure:
```
CoNi5Pt2
1.0
4.098 -1.819 0.000
4.098 1.819 0.000
-1.683 0.000 13.139
Co Ni Pt
2 10 4
direct
0.090 0.090 0.218 Co
0.910 0.910 0.782 Co
0.029 0.029 0.408 Ni
0.152 0.152 0.031 Ni
0.349 0.349 0.470 Ni
0.408 0.408 0.281 Ni
0.470 0.470 0.090 Ni
0.530 0.530 0.910 Ni
0.592 0.592 0.719 Ni
0.651 0.651 0.530 Ni
0.848 0.848 0.969 Ni
0.971 0.971 0.592 Ni
0.218 0.218 0.847 Pt
0.284 0.284 0.652 Pt
0.716 0.716 0.348 Pt
0.782 0.782 0.153 Pt
```


No. 11
The following is a theoretical powder X-ray diffraction pattern of Co3Ni3Pt2. It was derived from DFT lattice parameters and positions (GGA-PBE), using Cu Kα, 1.54184 Å.
Kinematic intensities with the Lorentz-polarization factor, no thermal factor.

Top 8 peaks for 2θ = 10–80°, in order of falling intensity:
Position (°2θ)	I (rel.)
44.88	100
34.01	35
42.32	31
42.53	30
16.29	24
61.55	20
79.20	18
29.65	18

Structure:
```
Co3Ni3Pt2
1.0
-2.126 2.136 5.442
2.126 -2.136 5.442
2.126 2.136 -5.442
Co Ni Pt
3 3 2
direct
0.000 0.000 0.000 Co
0.111 0.611 0.500 Co
0.889 0.389 0.500 Co
0.388 0.888 0.500 Ni
0.500 0.500 0.000 Ni
0.612 0.112 0.500 Ni
0.251 0.251 0.000 Pt
0.749 0.749 0.000 Pt
```


No. 12
The following is a theoretical powder X-ray diffraction pattern of Co2Ni7Pt. It was derived from DFT lattice parameters and positions (GGA-PBE), using Cu Kα, 1.54184 Å.
Kinematic intensities with the Lorentz-polarization factor, no thermal factor.

Top 8 peaks for 2θ = 10–80°, in order of falling intensity:
Position (°2θ)	I (rel.)
46.97	100
15.79	89
28.49	71
50.01	61
41.34	52
48.21	37
38.22	36
28.13	30

Structure:
```
Co2Ni7Pt
1.0
3.172 -6.024 0.000
3.172 6.024 0.000
0.000 0.000 3.776
Co Ni Pt
2 7 1
direct
0.199 0.801 0.000 Co
0.801 0.199 0.000 Co
0.000 0.000 0.000 Ni
0.205 0.421 0.000 Ni
0.296 0.704 0.500 Ni
0.421 0.205 0.000 Ni
0.579 0.795 0.000 Ni
0.704 0.296 0.500 Ni
0.795 0.579 0.000 Ni
0.500 0.500 0.500 Pt
```